# NaHfTaSi2SO12
Theoretical PXRD pattern, Cu Kα, 1.54184 Å. Input: a crystal structure in the Materials Project, relaxed with PBE.
Neutral-atom scattering factors, no anomalous dispersion.

Structure:
a = 15.410 Å, b = 8.922 Å, c = 9.276 Å
α = 90.00°, β = 123.92°, γ = 90.00°
Space group Cc (No. 9)
Asymmetric unit:
Na 0.000 0.236 0.000 x4
Hf 0.152 0.235 0.429 x4
Ta 0.362 0.251 0.059 x4
Si 0.257 0.041 0.244 x4
Si 0.397 0.394 0.741 x4
S 0.110 0.392 0.744 x4
O 0.018 0.316 0.729 x4
O 0.103 0.447 0.267 x4
O 0.109 0.367 0.588 x4
O 0.179 0.152 0.259 x4
O 0.183 0.061 0.574 x4
O 0.204 0.324 0.903 x4
O 0.291 0.332 0.572 x4
O 0.325 0.072 0.915 x4
O 0.337 0.142 0.220 x4
O 0.393 0.362 0.915 x4
O 0.400 0.421 0.218 x4
O 0.497 0.313 0.762 x4

Most intense lines, 2θ from 5° to 70°, sorted by position:
2theta  d/Å  I/Imax  index
13.80  6.416  20.6  1 1 -1
19.20  4.623  80.6  2 0 -2
19.93  4.455  100.0  0 2 0
23.07  3.855  24.7  0 2 1
27.76  3.213  28.1  2 2 -2
30.66  2.916  35.4  3 1 -3
30.78  2.905  19.2  3 1 1
34.88  2.572  30.5  6 0 -2

=====

# Ba8Ca4Cu8Hg4O25
Theoretical PXRD pattern, Cu Kα, 1.54184 Å. Input: a crystal structure in the Materials Project, relaxed with PBE.
Neutral-atom scattering factors, no anomalous dispersion.

Structure:
a = 15.502 Å, b = 7.736 Å, c = 13.505 Å
α = 90.00°, β = 106.63°, γ = 90.00°
Space group C2/m (No. 12)
Asymmetric unit:
Ba 0.052 0.000 0.207 x4
Ba 0.055 0.500 0.221 x4
Ba 0.195 0.000 0.781 x4
Ba 0.195 0.500 0.781 x4
Ca 0.125 0.000 0.498 x4
Ca 0.125 0.500 0.500 x4
Cu 0.030 0.249 0.622 x8
Cu 0.219 0.249 0.378 x8
Hg 0.120 0.241 0.000 x8
O 0.000 0.000 0.000 x2
O 0.031 0.000 0.621 x4
O 0.031 0.500 0.622 x4
O 0.088 0.255 0.842 x8
O 0.095 0.252 0.378 x8
O 0.155 0.250 0.622 x8
O 0.167 0.255 0.158 x8
O 0.220 0.500 0.378 x4
O 0.221 0.000 0.379 x4

Most intense lines, 2θ from 5° to 70°, sorted by position:
2theta  d/Å  I/Imax  index
26.84  3.322  100.0  0 2 2
31.04  2.881  96.1  4 0 2
32.71  2.738  77.6  4 2 -1
34.66  2.588  27.1  0 0 5
46.94  1.936  40.0  0 4 0
48.40  1.881  28.1  4 2 4
54.89  1.673  28.1  8 2 -4
57.34  1.607  33.2  8 2 1

=====

# ErAsSe
Theoretical PXRD pattern, Cu Kα, 1.54184 Å. Input: a crystal structure in the Materials Project, relaxed with PBE.
Neutral-atom scattering factors, no anomalous dispersion.

Structure:
a = 17.447 Å, b = 3.894 Å, c = 3.914 Å
α = 90.00°, β = 90.00°, γ = 90.00°
Space group Pnma (No. 62)
Asymmetric unit:
Er 0.139 0.250 0.229 x4
As 0.002 0.250 0.716 x4
Se 0.188 0.750 0.731 x4

Most intense lines, 2θ from 5° to 70°, sorted by position:
2theta  d/Å  I/Imax  index
24.94  3.571  18.1  2 0 1
25.04  3.556  19.7  2 1 0
30.75  2.908  25.2  6 0 0
32.43  2.760  24.5  0 1 1
34.07  2.632  40.2  2 1 1
38.60  2.332  100.0  4 1 1
46.40  1.957  15.3  0 0 2
46.65  1.947  17.4  0 2 0

=====

# Na4Zr2Ge5HO16
Theoretical PXRD pattern, Cu Kα, 1.54184 Å. Input: a crystal structure in the Materials Project, relaxed with PBE.
Neutral-atom scattering factors, no anomalous dispersion.

Structure:
a = 7.170 Å, b = 5.533 Å, c = 21.479 Å
α = 90.00°, β = 107.03°, γ = 90.00°
Space group P2/c (No. 13)
Asymmetric unit:
Na 0.115 0.240 0.473 x4
Na 0.259 0.005 0.791 x4
Zr 0.387 0.236 0.089 x4
Ge 0.146 0.256 0.635 x4
Ge 0.307 0.287 0.922 x4
Ge 0.500 0.493 0.750 x2
H 0.000 0.322 0.250 x2
O 0.088 0.289 0.852 x4
O 0.157 0.044 0.110 x4
O 0.187 0.467 0.579 x4
O 0.246 0.168 0.989 x4
O 0.299 0.288 0.718 x4
O 0.382 0.410 0.435 x4
O 0.458 0.091 0.893 x4
O 0.466 0.329 0.312 x4

Most intense lines, 2θ from 5° to 70°, sorted by position:
2theta  d/Å  I/Imax  index
12.91  6.856  56.7  1 0 0
17.27  5.134  46.0  0 0 4
20.28  4.379  92.5  1 1 -1
22.28  3.990  48.0  1 1 -3
26.03  3.423  45.4  0 0 6
27.09  3.291  70.2  1 1 -5
29.88  2.991  100.0  2 1 -1
32.48  2.757  60.0  1 0 6